This entry pairs a crystal structure of SmNi3H3 with its computed powder XRD pattern. Radiation: copper Kα. Structure: a structure optimized by DFT (GGA-PBE).
Kinematic intensities with the Lorentz-polarization factor, no thermal factor.

Structural model:
a = 6.137 Å, b = 6.137 Å, c = 6.137 Å
α = 60.00°, β = 60.00°, γ = 60.00°
Element x y z (fractional)
Sm  0.250  0.250  0.250
Sm  0.750  0.750  0.750
Ni  0.192  0.192  0.808
Ni  0.192  0.808  0.192
Ni  0.192  0.808  0.808
Ni  0.808  0.192  0.192
Ni  0.808  0.192  0.808
Ni  0.808  0.808  0.192
H  0.362  0.362  0.638
H  0.362  0.638  0.362
H  0.362  0.638  0.638
H  0.638  0.362  0.362
H  0.638  0.362  0.638
H  0.638  0.638  0.362

Principal peaks in the range 2θ from 10° to 90°, by angle:
2θ = 17.7°, I 29
2θ = 29.1°, I 41
2θ = 35.8°, I 100
2θ = 41.6°, I 47
2θ = 46.8°, I 25
2θ = 55.0°, I 20
2θ = 64.4°, I 20
2θ = 68.4°, I 21

=====

This entry pairs a crystal structure of SrSmNi2H8 with its computed powder XRD pattern. Radiation: copper Kα. Structure: a structure optimized by DFT (GGA-PBE).
Kinematic intensities with the Lorentz-polarization factor, no thermal factor.

Structural model:
a = 6.907 Å, b = 6.907 Å, c = 6.907 Å
α = 39.56°, β = 39.56°, γ = 39.56°
Element x y z (fractional)
Sr  0.000  0.000  0.000
Sm  0.500  0.500  0.500
Ni  0.228  0.228  0.228
Ni  0.772  0.772  0.772
H  0.077  0.561  0.561
H  0.145  0.145  0.145
H  0.439  0.439  0.923
H  0.439  0.923  0.439
H  0.561  0.077  0.561
H  0.561  0.561  0.077
H  0.855  0.855  0.855
H  0.923  0.439  0.439

Principal peaks in the range 2θ from 10° to 90°, by angle:
2θ = 13.9°, I 20
2θ = 23.9°, I 16
2θ = 28.9°, I 100
2θ = 38.5°, I 52
2θ = 44.1°, I 23
2θ = 48.9°, I 23
2θ = 63.9°, I 20
2θ = 73.5°, I 10

=====

This entry pairs a crystal structure of Ni3Sn2H2 with its computed powder XRD pattern. Radiation: copper Kα. Structure: a structure optimized by DFT (GGA-PBE).
Kinematic intensities with the Lorentz-polarization factor, no thermal factor.

Structural model:
a = 2.982 Å, b = 3.679 Å, c = 8.249 Å
α = 90.00°, β = 90.00°, γ = 90.00°
Element x y z (fractional)
Ni  0.000  0.000  0.000
Ni  0.500  0.500  0.169
Ni  0.500  0.500  0.831
Sn  0.000  0.000  0.322
Sn  0.000  0.000  0.678
H  0.500  0.242  0.000
H  0.500  0.758  0.000

Principal peaks in the range 2θ from 10° to 90°, by angle:
2θ = 21.5°, I 26
2θ = 24.2°, I 27
2θ = 38.9°, I 100
2θ = 41.0°, I 84
2θ = 44.8°, I 81
2θ = 49.6°, I 24
2θ = 69.0°, I 35
2θ = 77.3°, I 26

=====

This entry pairs a crystal structure of Ni4Sn2H with its computed powder XRD pattern. Radiation: copper Kα. Structure: a structure optimized by DFT (GGA-PBE).
Kinematic intensities with the Lorentz-polarization factor, no thermal factor.

Structural model:
a = 6.956 Å, b = 6.956 Å, c = 6.956 Å
α = 148.83°, β = 148.83°, γ = 44.66°
Element x y z (fractional)
Ni  0.000  0.500  0.500
Ni  0.136  0.136  0.000
Ni  0.500  0.000  0.500
Ni  0.864  0.864  0.000
Sn  0.339  0.339  0.000
Sn  0.661  0.661  0.000
H  0.000  0.000  0.000

Principal peaks in the range 2θ from 10° to 90°, by angle:
2θ = 31.8°, I 27
2θ = 33.9°, I 39
2θ = 36.8°, I 67
2θ = 42.1°, I 31
2θ = 44.4°, I 100
2θ = 48.7°, I 59
2θ = 66.3°, I 32
2θ = 88.0°, I 27

=====

This entry pairs a crystal structure of Ni3SnH with its computed powder XRD pattern. Radiation: copper Kα. Structure: a structure optimized by DFT (GGA-PBE).
Kinematic intensities with the Lorentz-polarization factor, no thermal factor.

Structural model:
a = 6.956 Å, b = 6.956 Å, c = 6.956 Å
α = 60.00°, β = 60.00°, γ = 60.00°
Element x y z (fractional)
Ni  0.059  0.059  0.691
Ni  0.059  0.691  0.059
Ni  0.059  0.691  0.691
Ni  0.309  0.309  0.941
Ni  0.309  0.941  0.309
Ni  0.309  0.941  0.941
Ni  0.691  0.059  0.059
Ni  0.691  0.059  0.691
Ni  0.691  0.691  0.059
Ni  0.941  0.309  0.309
Ni  0.941  0.309  0.941
Ni  0.941  0.941  0.309
Sn  0.000  0.500  0.500
Sn  0.500  0.000  0.500
Sn  0.500  0.500  0.000
Sn  0.500  0.500  0.500
H  0.000  0.000  0.000
H  0.000  0.000  0.500
H  0.000  0.500  0.000
H  0.500  0.000  0.000

Principal peaks in the range 2θ from 10° to 90°, by angle:
2θ = 30.1°, I 36
2θ = 31.5°, I 58
2θ = 40.0°, I 100
2θ = 45.2°, I 36
2θ = 48.1°, I 72
2θ = 52.6°, I 42
2θ = 62.6°, I 25
2θ = 85.5°, I 23

=====

This entry pairs a crystal structure of Ni4SnH2 with its computed powder XRD pattern. Radiation: copper Kα. Structure: a structure optimized by DFT (GGA-PBE).
Kinematic intensities with the Lorentz-polarization factor, no thermal factor.

Structural model:
a = 7.231 Å, b = 7.231 Å, c = 5.211 Å
α = 111.08°, β = 111.08°, γ = 32.46°
Element x y z (fractional)
Ni  0.000  0.000  0.000
Ni  0.000  0.000  0.500
Ni  0.199  0.191  0.689
Ni  0.200  0.191  0.202
Ni  0.402  0.394  0.648
Ni  0.606  0.598  0.352
Ni  0.809  0.800  0.798
Ni  0.809  0.801  0.311
Sn  0.391  0.389  0.140
Sn  0.611  0.609  0.860
H  0.033  0.144  0.339
H  0.076  0.473  0.525
H  0.527  0.924  0.475
H  0.856  0.967  0.661

Principal peaks in the range 2θ from 10° to 90°, by angle:
2θ = 41.6°, I 100
2θ = 41.8°, I 91
2θ = 44.8°, I 39
2θ = 44.8°, I 42
2θ = 46.6°, I 17
2θ = 55.5°, I 17
2θ = 65.2°, I 25
2θ = 87.3°, I 22

=====

This entry pairs a crystal structure of Ni3SnH with its computed powder XRD pattern. Radiation: copper Kα. Structure: a structure optimized by DFT (GGA-PBE).
Kinematic intensities with the Lorentz-polarization factor, no thermal factor.

Structural model:
a = 5.280 Å, b = 3.760 Å, c = 6.081 Å
α = 90.00°, β = 115.80°, γ = 90.00°
Element x y z (fractional)
Ni  0.000  0.000  0.000
Ni  0.123  0.500  0.746
Ni  0.243  0.000  0.500
Ni  0.500  0.000  0.000
Ni  0.757  0.000  0.500
Ni  0.877  0.500  0.254
Sn  0.366  0.500  0.232
Sn  0.634  0.500  0.768
H  0.124  0.000  0.748
H  0.876  0.000  0.252

Principal peaks in the range 2θ from 10° to 90°, by angle:
2θ = 40.8°, I 100
2θ = 41.8°, I 95
2θ = 47.9°, I 63
2θ = 48.4°, I 31
2θ = 70.5°, I 38
2θ = 83.6°, I 23
2θ = 85.7°, I 22
2θ = 85.8°, I 11

=====

This entry pairs a crystal structure of Ni5Sn2H with its computed powder XRD pattern. Radiation: copper Kα. Structure: a structure optimized by DFT (GGA-PBE).
Kinematic intensities with the Lorentz-polarization factor, no thermal factor.

Structural model:
a = 5.303 Å, b = 5.303 Å, c = 5.303 Å
α = 121.77°, β = 121.77°, γ = 86.97°
Element x y z (fractional)
Ni  0.000  0.000  0.000
Ni  0.001  0.001  0.497
Ni  0.001  0.504  0.000
Ni  0.504  0.001  0.000
Ni  0.504  0.504  0.503
Sn  0.002  0.502  0.500
Sn  0.502  0.002  0.500
H  0.250  0.250  0.000

Principal peaks in the range 2θ from 10° to 90°, by angle:
2θ = 24.4°, I 20
2θ = 33.9°, I 18
2θ = 42.2°, I 100
2θ = 47.2°, I 18
2θ = 50.0°, I 30
2θ = 71.2°, I 20
2θ = 84.3°, I 13
2θ = 88.4°, I 24

=====

Copy entry 8 word for word.
This entry pairs a crystal structure of Ni5Sn2H with its computed powder XRD pattern. Radiation: copper Kα. Structure: a structure optimized by DFT (GGA-PBE).
Kinematic intensities with the Lorentz-polarization factor, no thermal factor.

Structural model:
a = 5.303 Å, b = 5.303 Å, c = 5.303 Å
α = 121.77°, β = 121.77°, γ = 86.97°
Element x y z (fractional)
Ni  0.000  0.000  0.000
Ni  0.001  0.001  0.497
Ni  0.001  0.504  0.000
Ni  0.504  0.001  0.000
Ni  0.504  0.504  0.503
Sn  0.002  0.502  0.500
Sn  0.502  0.002  0.500
H  0.250  0.250  0.000

Principal peaks in the range 2θ from 10° to 90°, by angle:
2θ = 24.4°, I 20
2θ = 33.9°, I 18
2θ = 42.2°, I 100
2θ = 47.2°, I 18
2θ = 50.0°, I 30
2θ = 71.2°, I 20
2θ = 84.3°, I 13
2θ = 88.4°, I 24